Calculated powder diffractogram
Compound: K3Nb3Si2O13
Radiation: CuKα
Structure: a crystal structure in the Materials Project, relaxed with PBE
Neutral-atom scattering factors, no anomalous dispersion.

Most intense lines, 10° ≤ 2θ ≤ 90°, by angle:
Position (°2θ), I/Imax
19.2, 38
22.4, 38
29.5, 100
29.7, 75
31.7, 32
55.4, 31

Crystal structure
```
data_K3Nb3Si2O13
_chemical_formula_sum 'K6 Nb6 Si4 O26'
_symmetry_space_group_name_H-M 'P -6 2 m'
_symmetry_Int_Tables_number 189
_symmetry_space_group_name_Hall 'P -6 -2'
_cell_length_a 9.2578
_cell_length_b 9.2578
_cell_length_c 7.9268
_cell_angle_alpha 90.00
_cell_angle_beta 90.00
_cell_angle_gamma 120.00
loop_
_atom_site_label
_atom_site_type_symbol
_atom_site_fract_x
_atom_site_fract_y
_atom_site_fract_z
_atom_site_occupancy
K1 K 0.0000 0.5959 0.0000 1
K2 K 0.0000 0.6107 0.5000 1
Nb1 Nb 0.0000 0.2379 0.2496 1
Si1 Si 0.3333 0.6667 0.2911 1
O1 O 0.0000 0.2319 0.0000 1
O2 O 0.0000 0.2701 0.5000 1
O3 O 0.0000 0.8261 0.2654 1
O4 O 0.1828 0.4866 0.2291 1
O5 O 0.3333 0.6667 0.5000 1
```